Record 1
# MnZnP2
Simulated powder diffraction line list, Cu Kα, 1.54184 Å. Input: DFT lattice parameters and positions (PBE).
No peak broadening, texture or thermal motion is included.

Crystal structure
```
data_MnZnP2
_space_group_name_H-M_alt 'I m m 2'
_space_group_IT_number 44
_space_group_name_Hall 'I 2 -2'
_cell_length_a 2.732
_cell_length_b 3.405
_cell_length_c 12.023
_cell_angle_alpha 90.00
_cell_angle_beta 90.00
_cell_angle_gamma 90.00
loop_
_atom_site_label
_atom_site_fract_x
_atom_site_fract_y
_atom_site_fract_z
Mn1 0.000 0.000 0.000
Zn1 0.000 0.500 0.274
P1 0.000 0.000 0.433
P2 0.000 0.500 0.650
```

Top 12 peaks for 10 to 90 degrees two-theta, in order of rising 2θ:
- 3.276 Å, 2θ 27.22, I 36, (0 1 1)
- 3.006 Å, 2θ 29.72, I 25, (0 0 4)
- 2.664 Å, 2θ 33.64, I 16, (1 0 1)
- 2.595 Å, 2θ 34.56, I 48, (0 1 3)
- 2.258 Å, 2θ 39.93, I 40, (1 0 3)
- 2.009 Å, 2θ 45.14, I 100, (1 1 2)
- 1.964 Å, 2θ 46.22, I 33, (0 1 5)
- 1.805 Å, 2θ 50.56, I 18, (1 0 5)
- 1.703 Å, 2θ 53.85, I 21, (0 2 0)
- 1.454 Å, 2θ 64.03, I 10, (1 0 7)
- 1.359 Å, 2θ 69.10, I 14, (1 2 3)
- 1.239 Å, 2θ 76.99, I 10, (1 2 5)


Record 2
# PrInSe3
Simulated powder diffraction line list, Cu Kα, 1.54184 Å. Input: DFT lattice parameters and positions (PBE).
No peak broadening, texture or thermal motion is included.

Crystal structure
```
data_PrInSe3
_space_group_name_H-M_alt 'P 1 21/m 1'
_space_group_IT_number 11
_space_group_name_Hall '-P 2yb'
_cell_length_a 7.485
_cell_length_b 4.311
_cell_length_c 10.595
_cell_angle_alpha 90.00
_cell_angle_beta 100.91
_cell_angle_gamma 90.00
loop_
_atom_site_label
_atom_site_fract_x
_atom_site_fract_y
_atom_site_fract_z
Pr1 0.212 0.250 0.426
In1 0.397 0.250 0.858
Se1 0.050 0.250 0.658
Se2 0.276 0.750 0.963
Se3 0.465 0.750 0.352
```

Top 12 peaks for 10 to 90 degrees two-theta, in order of rising 2θ:
- 6.623 Å, 2θ 13.37, I 46, (1 0 -1)
- 4.685 Å, 2θ 18.94, I 58, (1 0 -2)
- 3.982 Å, 2θ 22.32, I 43, (0 1 1)
- 3.911 Å, 2θ 22.74, I 54, (1 0 2)
- 3.718 Å, 2θ 23.93, I 34, (1 1 0)
- 3.613 Å, 2θ 24.64, I 100, (1 1 -1)
- 2.765 Å, 2θ 32.38, I 49, (2 0 2)
- 2.667 Å, 2θ 33.61, I 37, (1 1 -3)
- 2.608 Å, 2θ 34.38, I 96, (2 1 1)
- 2.349 Å, 2θ 38.33, I 89, (2 1 -3)
- 2.156 Å, 2θ 41.90, I 83, (0 2 0)
- 1.873 Å, 2θ 48.60, I 61, (0 1 5)


Record 3
# Mg2CuGe2Pd
Simulated powder diffraction line list, Cu Kα, 1.54184 Å. Input: DFT lattice parameters and positions (PBE).
No peak broadening, texture or thermal motion is included.

Crystal structure
```
data_Mg2CuGe2Pd
_space_group_name_H-M_alt 'I b a m'
_space_group_IT_number 72
_space_group_name_Hall '-I 2 2c'
_cell_length_a 5.786
_cell_length_b 12.605
_cell_length_c 5.775
_cell_angle_alpha 90.00
_cell_angle_beta 90.00
_cell_angle_gamma 90.00
loop_
_atom_site_label
_atom_site_fract_x
_atom_site_fract_y
_atom_site_fract_z
Mg1 0.244 0.158 0.000
Cu1 0.000 0.500 0.250
Ge1 0.239 0.376 0.000
Pd1 0.000 0.000 0.250
```

Top 12 peaks for 10 to 90 degrees two-theta, in order of rising 2θ:
- 6.302 Å, 2θ 14.05, I 76, (0 2 0)
- 3.429 Å, 2θ 25.98, I 30, (1 2 1)
- 2.627 Å, 2θ 34.13, I 55, (2 2 0)
- 2.130 Å, 2θ 42.44, I 100, (0 4 2)
- 2.044 Å, 2θ 44.32, I 48, (2 0 2)
- 1.944 Å, 2θ 46.73, I 14, (2 2 2)
- 1.868 Å, 2θ 48.74, I 9, (1 6 1)
- 1.465 Å, 2θ 63.51, I 11, (2 6 2)
- 1.266 Å, 2θ 75.02, I 10, (4 2 2)
- 1.248 Å, 2θ 76.32, I 13, (2 8 2)
- 1.196 Å, 2θ 80.24, I 14, (4 4 2)
- 1.195 Å, 2θ 80.33, I 14, (2 4 4)


Record 4
# LiPaW2N6
Simulated powder diffraction line list, Cu Kα, 1.54184 Å. Input: DFT lattice parameters and positions (PBE).
No peak broadening, texture or thermal motion is included.

Crystal structure
```
data_LiPaW2N6
_space_group_name_H-M_alt 'C 1 2/c 1'
_space_group_IT_number 15
_space_group_name_Hall '-C 2yc'
_cell_length_a 10.594
_cell_length_b 9.962
_cell_length_c 6.248
_cell_angle_alpha 90.00
_cell_angle_beta 111.95
_cell_angle_gamma 90.00
loop_
_atom_site_label
_atom_site_fract_x
_atom_site_fract_y
_atom_site_fract_z
Li1 0.000 0.233 0.250
Pa1 0.000 0.100 0.750
W1 0.196 0.414 0.730
N1 0.110 0.084 0.144
N2 0.127 0.244 0.652
N3 0.142 0.480 0.963
```

Top 12 peaks for 10 to 90 degrees two-theta, in order of rising 2θ:
- 5.193 Å, 2θ 17.07, I 32, (1 1 -1)
- 4.981 Å, 2θ 17.81, I 31, (0 2 0)
- 3.973 Å, 2θ 22.37, I 30, (1 1 1)
- 3.425 Å, 2θ 26.02, I 100, (2 2 -1)
- 3.111 Å, 2θ 28.69, I 68, (3 1 0)
- 2.915 Å, 2θ 30.67, I 24, (1 3 -1)
- 2.898 Å, 2θ 30.86, I 44, (0 0 2)
- 2.694 Å, 2θ 33.25, I 40, (2 2 1)
- 2.637 Å, 2θ 33.99, I 46, (3 1 -2)
- 2.202 Å, 2θ 40.98, I 20, (2 4 -1)
- 1.921 Å, 2θ 47.32, I 25, (2 2 -3)
- 1.785 Å, 2θ 51.17, I 23, (5 3 -1)


Record 5
# Sr3Dy3ScTe8
Simulated powder diffraction line list, Cu Kα, 1.54184 Å. Input: DFT lattice parameters and positions (PBE).
No peak broadening, texture or thermal motion is included.

Crystal structure
```
data_Sr3Dy3ScTe8
_space_group_name_H-M_alt 'R -3 m'
_space_group_IT_number 166
_space_group_name_Hall '-R 3 2"'
_cell_length_a 8.8273
_cell_length_b 8.8273
_cell_length_c 22.9177
_cell_angle_alpha 90.00
_cell_angle_beta 90.00
_cell_angle_gamma 120.00
loop_
_atom_site_label
_atom_site_fract_x
_atom_site_fract_y
_atom_site_fract_z
Sr1 0.0000 0.5000 0.0000
Dy1 0.0000 0.5000 0.5000
Sc1 0.0000 0.0000 0.5000
Te1 0.0000 0.0000 0.2437
Te2 0.0060 0.5030 0.2413
```

Top 12 peaks for 10 to 90 degrees two-theta, in order of rising 2θ:
- 7.639 Å, 2θ 11.58, I 14, (0 0 3)
- 6.359 Å, 2θ 13.93, I 7, (0 1 2)
- 3.180 Å, 2θ 28.06, I 100, (0 2 4)
- 2.292 Å, 2θ 39.30, I 38, (2 0 8)
- 2.207 Å, 2θ 40.89, I 37, (2 2 0)
- 1.910 Å, 2θ 47.61, I 7, (0 0 12)
- 1.813 Å, 2θ 50.33, I 20, (4 0 4)
- 1.590 Å, 2θ 58.01, I 12, (0 4 8)
- 1.444 Å, 2θ 64.53, I 15, (2 2 12)
- 1.401 Å, 2θ 66.78, I 17, (2 4 4)
- 1.290 Å, 2θ 73.40, I 12, (4 2 8)
- 1.274 Å, 2θ 74.47, I 6, (6 0 0)


Record 6
# MgTlGa6
Simulated powder diffraction line list, Cu Kα, 1.54184 Å. Input: DFT lattice parameters and positions (PBE).
No peak broadening, texture or thermal motion is included.

Crystal structure
```
data_MgTlGa6
_space_group_name_H-M_alt 'P m m 2'
_space_group_IT_number 25
_space_group_name_Hall 'P 2 -2'
_cell_length_a 4.908
_cell_length_b 6.512
_cell_length_c 5.229
_cell_angle_alpha 90.00
_cell_angle_beta 90.00
_cell_angle_gamma 90.00
loop_
_atom_site_label
_atom_site_fract_x
_atom_site_fract_y
_atom_site_fract_z
Mg1 0.000 0.000 0.000
Tl1 0.500 0.500 0.695
Ga1 0.000 0.227 0.504
Ga2 0.000 0.500 0.082
Ga3 0.500 0.000 0.678
Ga4 0.500 0.225 0.196
```

Top 12 peaks for 10 to 90 degrees two-theta, in order of rising 2θ:
- 6.512 Å, 2θ 13.60, I 14, (0 1 0)
- 4.908 Å, 2θ 18.07, I 14, (1 0 0)
- 3.136 Å, 2θ 28.46, I 27, (1 1 1)
- 2.764 Å, 2θ 32.39, I 29, (0 2 1)
- 2.454 Å, 2θ 36.62, I 36, (2 0 0)
- 2.408 Å, 2θ 37.34, I 100, (1 2 1)
- 2.308 Å, 2θ 39.03, I 43, (1 0 2)
- 1.835 Å, 2θ 49.68, I 17, (2 2 1)
- 1.627 Å, 2θ 56.56, I 13, (0 4 0)
- 1.537 Å, 2θ 60.22, I 13, (0 2 3)
- 1.408 Å, 2θ 66.40, I 18, (3 2 1)
- 1.302 Å, 2θ 72.58, I 15, (2 2 3)


What did the first record say?
# MnZnP2
Simulated powder diffraction line list, Cu Kα, 1.54184 Å. Input: DFT lattice parameters and positions (PBE).
No peak broadening, texture or thermal motion is included.

Crystal structure
```
data_MnZnP2
_space_group_name_H-M_alt 'I m m 2'
_space_group_IT_number 44
_space_group_name_Hall 'I 2 -2'
_cell_length_a 2.732
_cell_length_b 3.405
_cell_length_c 12.023
_cell_angle_alpha 90.00
_cell_angle_beta 90.00
_cell_angle_gamma 90.00
loop_
_atom_site_label
_atom_site_fract_x
_atom_site_fract_y
_atom_site_fract_z
Mn1 0.000 0.000 0.000
Zn1 0.000 0.500 0.274
P1 0.000 0.000 0.433
P2 0.000 0.500 0.650
```

Top 12 peaks for 10 to 90 degrees two-theta, in order of rising 2θ:
- 3.276 Å, 2θ 27.22, I 36, (0 1 1)
- 3.006 Å, 2θ 29.72, I 25, (0 0 4)
- 2.664 Å, 2θ 33.64, I 16, (1 0 1)
- 2.595 Å, 2θ 34.56, I 48, (0 1 3)
- 2.258 Å, 2θ 39.93, I 40, (1 0 3)
- 2.009 Å, 2θ 45.14, I 100, (1 1 2)
- 1.964 Å, 2θ 46.22, I 33, (0 1 5)
- 1.805 Å, 2θ 50.56, I 18, (1 0 5)
- 1.703 Å, 2θ 53.85, I 21, (0 2 0)
- 1.454 Å, 2θ 64.03, I 10, (1 0 7)
- 1.359 Å, 2θ 69.10, I 14, (1 2 3)
- 1.239 Å, 2θ 76.99, I 10, (1 2 5)


Copy entry 4 word for word.
# LiPaW2N6
Simulated powder diffraction line list, Cu Kα, 1.54184 Å. Input: DFT lattice parameters and positions (PBE).
No peak broadening, texture or thermal motion is included.

Crystal structure
```
data_LiPaW2N6
_space_group_name_H-M_alt 'C 1 2/c 1'
_space_group_IT_number 15
_space_group_name_Hall '-C 2yc'
_cell_length_a 10.594
_cell_length_b 9.962
_cell_length_c 6.248
_cell_angle_alpha 90.00
_cell_angle_beta 111.95
_cell_angle_gamma 90.00
loop_
_atom_site_label
_atom_site_fract_x
_atom_site_fract_y
_atom_site_fract_z
Li1 0.000 0.233 0.250
Pa1 0.000 0.100 0.750
W1 0.196 0.414 0.730
N1 0.110 0.084 0.144
N2 0.127 0.244 0.652
N3 0.142 0.480 0.963
```

Top 12 peaks for 10 to 90 degrees two-theta, in order of rising 2θ:
- 5.193 Å, 2θ 17.07, I 32, (1 1 -1)
- 4.981 Å, 2θ 17.81, I 31, (0 2 0)
- 3.973 Å, 2θ 22.37, I 30, (1 1 1)
- 3.425 Å, 2θ 26.02, I 100, (2 2 -1)
- 3.111 Å, 2θ 28.69, I 68, (3 1 0)
- 2.915 Å, 2θ 30.67, I 24, (1 3 -1)
- 2.898 Å, 2θ 30.86, I 44, (0 0 2)
- 2.694 Å, 2θ 33.25, I 40, (2 2 1)
- 2.637 Å, 2θ 33.99, I 46, (3 1 -2)
- 2.202 Å, 2θ 40.98, I 20, (2 4 -1)
- 1.921 Å, 2θ 47.32, I 25, (2 2 -3)
- 1.785 Å, 2θ 51.17, I 23, (5 3 -1)